Structure and computed X-ray diffraction stick pattern of Fe5OF11 (DFT lattice parameters and positions (PBE+U); CuKα).
Kinematic intensities with the Lorentz-polarization factor, no thermal factor.

Crystal structure
Cell lengths 5.362, 5.827, 9.079 Å; angles 98.96, 97.07, 116.27 degrees
Space group P1 (No. 1)
Symmetry-distinct sites (fractional):
Fe: 0.000 0.000 0.000 x1
Fe: 0.071 0.843 0.398 x1
Fe: 0.181 0.487 0.711 x1
Fe: 0.392 0.400 0.348 x1
Fe: 0.508 0.070 0.810 x1
O: 0.725 0.682 0.450 x1
F: 0.122 0.542 0.313 x1
F: 0.165 0.245 0.508 x1
F: 0.200 0.802 0.893 x1
F: 0.264 0.821 0.610 x1
F: 0.269 0.241 0.826 x1
F: 0.364 0.314 0.133 x1
F: 0.448 0.090 0.366 x1
F: 0.634 0.785 0.806 x1
F: 0.760 0.298 0.702 x1
F: 0.790 0.229 0.991 x1
F: 0.930 0.900 0.200 x1

Most intense lines, 2θ = 5–70°, in order of falling intensity:
h k l	2θ (°)	d (Å)	I (rel.)
-1 1 1	21.35	4.162	100
0 0 2	20.29	4.378	54
1 0 0	18.91	4.693	52
1 -2 1	31.48	2.842	45
1 -1 2	27.74	3.216	37
1 1 -2	32.73	2.736	31
1 0 -1	19.43	4.570	28
0 1 1	22.22	4.001	26
0 1 -1	18.01	4.926	25
1 0 4	49.61	1.838	22